Record 1
For Na3InSe3, a crystal structure in Alexandria, relaxed with GGA-PBE gives the calculated X-ray diffraction stick pattern in this record (Cu Ka).

Peak list (10 most intense, 10 to 90 degrees two-theta, in order of rising 2θ)
2θ = 13.6°, rel. 100
2θ = 16.7°, rel. 72
2θ = 16.9°, rel. 59
2θ = 21.7°, rel. 57
2θ = 24.0°, rel. 76
2θ = 25.8°, rel. 68
2θ = 30.4°, rel. 58
2θ = 34.2°, rel. 97
2θ = 40.3°, rel. 77
2θ = 41.6°, rel. 85

```
Na3InSe3
1.0
8.3857 0.0000 0.0000
0.0000 7.5538 0.0000
-1.0613 0.0000 12.7923
Na In Se
12 4 12
Direct
0.0915 0.2377 0.1004 Na
0.0915 0.2623 0.6004 Na
0.1547 0.7201 0.6702 Na
0.1547 0.7799 0.1702 Na
0.3846 0.1801 0.8477 Na
0.3846 0.3199 0.3477 Na
0.6154 0.6801 0.6523 Na
0.6154 0.8199 0.1523 Na
0.8453 0.2201 0.8298 Na
0.8453 0.2799 0.3298 Na
0.9085 0.7377 0.3996 Na
0.9085 0.7623 0.8996 Na
0.3265 0.6147 0.9408 In
0.3265 0.8853 0.4408 In
0.6735 0.1147 0.5592 In
0.6735 0.3853 0.0592 In
0.1149 0.0546 0.3225 Se
0.1149 0.4454 0.8225 Se
0.2316 0.5709 0.4736 Se
0.2316 0.9291 0.9736 Se
0.3944 0.0301 0.6318 Se
0.3944 0.4699 0.1318 Se
0.6056 0.5301 0.8682 Se
0.6056 0.9699 0.3682 Se
0.7684 0.0709 0.0264 Se
0.7684 0.4291 0.5264 Se
0.8851 0.5546 0.1775 Se
0.8851 0.9454 0.6775 Se
```

---

Record 2
For Na7In3Se8, a crystal structure in Alexandria, relaxed with GGA-PBE gives the calculated X-ray diffraction stick pattern in this record (Cu Ka).

Peak list (10 most intense, 10 to 90 degrees two-theta, in order of rising 2θ)
2θ = 10.7°, rel. 39
2θ = 16.9°, rel. 40
2θ = 21.0°, rel. 71
2θ = 26.1°, rel. 100
2θ = 33.9°, rel. 60
2θ = 34.1°, rel. 50
2θ = 37.1°, rel. 47
2θ = 37.4°, rel. 47
2θ = 41.2°, rel. 59
2θ = 45.6°, rel. 41

```
Na7In3Se8
1.0
6.8172 0.0000 0.0000
0.0252 10.5884 0.0000
0.0749 0.3836 13.6594
Na In Se
14 6 16
Direct
0.0179 0.1251 0.1331 Na
0.0257 0.3567 0.3775 Na
0.2143 0.6089 0.2269 Na
0.2213 0.1129 0.7334 Na
0.2460 0.3704 0.9849 Na
0.2748 0.8572 0.4824 Na
0.3547 0.1248 0.3194 Na
0.6453 0.8752 0.6806 Na
0.7252 0.1428 0.5176 Na
0.7540 0.6296 0.0151 Na
0.7787 0.8871 0.2666 Na
0.7857 0.3911 0.7731 Na
0.9743 0.6433 0.6225 Na
0.9821 0.8749 0.8669 Na
0.3626 0.8823 0.0654 In
0.3667 0.3899 0.5749 In
0.3717 0.6561 0.8047 In
0.6283 0.3439 0.1953 In
0.6333 0.6101 0.4251 In
0.6374 0.1177 0.9346 In
0.2259 0.8373 0.6963 Se
0.2341 0.8851 0.2428 Se
0.2385 0.6684 0.9907 Se
0.2437 0.4260 0.7565 Se
0.2495 0.5762 0.4526 Se
0.2521 0.3423 0.1941 Se
0.2530 0.0812 0.9526 Se
0.2538 0.1689 0.5233 Se
0.7462 0.8311 0.4767 Se
0.7470 0.9188 0.0474 Se
0.7479 0.6577 0.8059 Se
0.7505 0.4238 0.5474 Se
0.7563 0.5740 0.2435 Se
0.7615 0.3316 0.0093 Se
0.7659 0.1149 0.7572 Se
0.7741 0.1627 0.3037 Se
```

---

Record 3
For NaTl2In2Se4, a crystal structure in Alexandria, relaxed with GGA-PBE gives the calculated X-ray diffraction stick pattern in this record (Cu Ka).

Peak list (10 most intense, 10 to 90 degrees two-theta, in order of rising 2θ)
2θ = 14.2°, rel. 41
2θ = 24.0°, rel. 60
2θ = 28.6°, rel. 68
2θ = 30.2°, rel. 100
2θ = 34.0°, rel. 34
2θ = 37.8°, rel. 30
2θ = 38.3°, rel. 42
2θ = 40.6°, rel. 30
2θ = 48.5°, rel. 32
2θ = 49.1°, rel. 35

```
NaTl2In2Se4
1.0
8.0843 -2.3485 0.0000
8.0843 2.3485 0.0000
-2.0106 0.0000 7.3509
Na Tl In Se
1 2 2 4
Direct
0.0000 0.0000 0.0000 Na
0.1165 0.1165 0.5563 Tl
0.8835 0.8835 0.4437 Tl
0.3336 0.3336 0.9920 In
0.6664 0.6664 0.0080 In
0.2080 0.2080 0.1885 Se
0.4742 0.4742 0.2524 Se
0.5258 0.5258 0.7476 Se
0.7920 0.7920 0.8115 Se
```

---

Record 4
For NaSm5In3, a crystal structure in Alexandria, relaxed with GGA-PBE gives the calculated X-ray diffraction stick pattern in this record (Cu Ka).

Peak list (10 most intense, 10 to 90 degrees two-theta, in order of rising 2θ)
2θ = 10.7°, rel. 15
2θ = 26.2°, rel. 11
2θ = 32.4°, rel. 86
2θ = 32.5°, rel. 100
2θ = 42.3°, rel. 17
2θ = 46.5°, rel. 30
2θ = 58.0°, rel. 48
2θ = 64.5°, rel. 27
2θ = 77.4°, rel. 12
2θ = 83.3°, rel. 13

```
NaSm5In3
1.0
9.5375 0.0000 0.0000
-4.7688 8.2598 0.0000
0.0000 0.0000 6.7906
Na Sm In
2 10 6
Direct
0.0000 0.0000 0.0000 Na
0.0000 0.0000 0.5000 Na
0.0000 0.3198 0.2500 Sm
0.0000 0.6802 0.7500 Sm
0.3198 0.0000 0.2500 Sm
0.3198 0.3198 0.7500 Sm
0.3333 0.6667 0.0000 Sm
0.3333 0.6667 0.5000 Sm
0.6667 0.3333 0.0000 Sm
0.6667 0.3333 0.5000 Sm
0.6802 0.0000 0.7500 Sm
0.6802 0.6802 0.2500 Sm
0.0000 0.3460 0.7500 In
0.0000 0.6540 0.2500 In
0.3460 0.0000 0.7500 In
0.3460 0.3460 0.2500 In
0.6540 0.0000 0.2500 In
0.6540 0.6540 0.7500 In
```

---

Record 5
For Na3Sm3InTe8, a crystal structure in Alexandria, relaxed with GGA-PBE gives the calculated X-ray diffraction stick pattern in this record (Cu Ka).

Peak list (10 most intense, 10 to 90 degrees two-theta, in order of rising 2θ)
2θ = 11.5°, rel. 35
2θ = 23.6°, rel. 12
2θ = 28.0°, rel. 100
2θ = 35.9°, rel. 11
2θ = 39.0°, rel. 39
2θ = 40.9°, rel. 36
2θ = 50.3°, rel. 13
2θ = 57.8°, rel. 12
2θ = 64.1°, rel. 17
2θ = 66.6°, rel. 11

```
Na3Sm3InTe8
1.0
7.6590 -4.4117 0.0000
7.6590 4.4117 0.0000
-5.1130 0.0000 7.7241
Na Sm In Te
3 3 1 8
Direct
0.0000 0.0000 0.0000 Na
0.0000 0.5000 0.0000 Na
0.5000 0.0000 0.0000 Na
0.0000 0.5000 0.5000 Sm
0.5000 0.0000 0.5000 Sm
0.5000 0.5000 0.5000 Sm
0.0000 0.0000 0.5000 In
0.2399 0.2399 0.7319 Te
0.2397 0.7522 0.7318 Te
0.2478 0.7603 0.2682 Te
0.2543 0.2543 0.2627 Te
0.7457 0.7457 0.7373 Te
0.7522 0.2397 0.7318 Te
0.7603 0.2478 0.2682 Te
0.7601 0.7601 0.2681 Te
```

---

Record 6
For Na4In4Sn5, a crystal structure in Alexandria, relaxed with GGA-PBE gives the calculated X-ray diffraction stick pattern in this record (Cu Ka).

Peak list (10 most intense, 10 to 90 degrees two-theta, in order of rising 2θ)
2θ = 10.2°, rel. 44
2θ = 24.5°, rel. 13
2θ = 32.2°, rel. 100
2θ = 35.4°, rel. 14
2θ = 37.0°, rel. 18
2θ = 37.5°, rel. 32
2θ = 53.7°, rel. 23
2θ = 63.7°, rel. 14
2θ = 64.3°, rel. 21
2θ = 67.3°, rel. 10

```
Na4In4Sn5
1.0
-6.1223 6.1223 2.4282
6.1223 -6.1223 2.4282
6.1223 6.1223 -2.4282
Na In Sn
4 4 5
Direct
0.0922 0.6254 0.7177 Na
0.3746 0.0922 0.4668 Na
0.6254 0.9078 0.5332 Na
0.9078 0.3746 0.2823 Na
0.1401 0.2296 0.3697 In
0.2296 0.8599 0.0896 In
0.7704 0.1401 0.9104 In
0.8599 0.7704 0.6303 In
0.0000 0.0000 0.0000 Sn
0.3171 0.4465 0.7636 Sn
0.4465 0.6829 0.1294 Sn
0.5535 0.3171 0.8706 Sn
0.6829 0.5535 0.2364 Sn
```